1.
Diffraction record for MgTl8Pb3. The PXRD pattern is calculated, not measured: it uses a DFT-relaxed cell (GGA-PBE, Alexandria) and a wavelength of 1.5418 Å.

Structural model:
```
data_MgTl8Pb3
_cell_length_a 6.0322
_cell_length_b 6.0322
_cell_length_c 11.4134
_cell_angle_alpha 90.00
_cell_angle_beta 90.00
_cell_angle_gamma 120.00
_space_group_name_H-M_alt 'P -3 1 m'
_space_group_IT_number 162
_space_group_name_Hall '-P 3 2'
loop_
_atom_site_label
_atom_site_fract_x
_atom_site_fract_y
_atom_site_fract_z
_atom_site_occupancy
Mg1 0.0000 0.0000 0.0000 1
Tl1 0.0000 0.3275 0.7542 1
Tl2 0.3333 0.6667 0.0000 1
Pb1 0.0000 0.0000 0.5000 1
Pb2 0.3333 0.6667 0.5000 1
```

Most intense lines, 2θ from 15° to 90°, by angle:
30.66°, I 53
31.35°, I 37
33.61°, I 100
38.07°, I 29
50.12°, I 14
52.55°, I 27
57.26°, I 22
62.48°, I 32
63.84°, I 16
81.44°, I 8
87.20°, I 14
88.62°, I 13

***

2.
Diffraction record for KRb2F7. The PXRD pattern is calculated, not measured: it uses a DFT-relaxed cell (GGA-PBE, Alexandria) and a wavelength of 1.5418 Å.

Structural model:
```
data_KRb2F7
_cell_length_a 6.0841
_cell_length_b 6.0841
_cell_length_c 10.5447
_cell_angle_alpha 90.00
_cell_angle_beta 90.00
_cell_angle_gamma 90.00
_space_group_name_H-M_alt 'I 4/m m m'
_space_group_IT_number 139
_space_group_name_Hall '-I 4 2'
loop_
_atom_site_label
_atom_site_fract_x
_atom_site_fract_y
_atom_site_fract_z
_atom_site_occupancy
K1 0.0000 0.0000 0.0000 1
Rb1 0.0000 0.5000 0.2500 1
F1 0.0000 0.0000 0.2302 1
F2 0.0000 0.0000 0.5000 1
F3 0.2134 0.2134 0.5000 1
```

Most intense lines, 2θ from 15° to 90°, by angle:
26.75°, I 91
29.36°, I 37
34.02°, I 100
42.00°, I 37
45.54°, I 27
50.50°, I 26
55.10°, I 31
56.57°, I 11
60.89°, I 19
71.63°, I 23
72.90°, I 9
79.23°, I 14

***

3.
Diffraction record for Er2TiNi4Ge3. The PXRD pattern is calculated, not measured: it uses a DFT-relaxed cell (GGA-PBE, Alexandria) and a wavelength of 1.5418 Å.

Structural model:
```
data_Er2TiNi4Ge3
_cell_length_a 3.9679
_cell_length_b 3.9679
_cell_length_c 10.2346
_cell_angle_alpha 90.00
_cell_angle_beta 90.00
_cell_angle_gamma 90.00
_space_group_name_H-M_alt 'P -4 m 2'
_space_group_IT_number 115
loop_
_space_group_symop_operation_xyz
'x,y,z'
'y,-x,-z'
'-x,-y,z'
'-y,x,-z'
'-x,y,z'
'-y,-x,-z'
'x,-y,z'
'y,x,-z'
loop_
_atom_site_label
_atom_site_fract_x
_atom_site_fract_y
_atom_site_fract_z
_atom_site_occupancy
Er1 0.0000 0.5000 0.2366 1
Ti1 0.0000 0.0000 0.5000 1
Ni1 0.0000 0.0000 0.0000 1
Ni2 0.0000 0.5000 0.6409 1
Ni3 0.5000 0.5000 0.0000 1
Ge1 0.0000 0.5000 0.8693 1
Ge2 0.5000 0.5000 0.5000 1
```

Most intense lines, 2θ from 15° to 90°, by angle:
24.05°, I 11
31.90°, I 24
34.68°, I 69
36.52°, I 100
45.73°, I 52
50.15°, I 32
58.64°, I 30
58.92°, I 8
63.86°, I 12
66.67°, I 16
70.19°, I 23
78.49°, I 21

***

4.
Diffraction record for Sr3Sb3Pd2. The PXRD pattern is calculated, not measured: it uses a DFT-relaxed cell (GGA-PBE, Alexandria) and a wavelength of 1.5418 Å.

Structural model:
```
data_Sr3Sb3Pd2
_cell_length_a 4.7736
_cell_length_b 11.5547
_cell_length_c 15.9943
_cell_angle_alpha 90.00
_cell_angle_beta 90.00
_cell_angle_gamma 90.00
_space_group_name_H-M_alt 'C m c m'
_space_group_IT_number 63
_space_group_name_Hall '-C 2c 2'
loop_
_atom_site_label
_atom_site_fract_x
_atom_site_fract_y
_atom_site_fract_z
_atom_site_occupancy
Sr1 0.0000 0.0886 0.1095 1
Sr2 0.0000 0.3698 0.2500 1
Sb1 0.0000 0.3292 0.7500 1
Sb2 0.0000 0.3762 0.0359 1
Pd1 0.0000 0.2034 0.5972 1
```

Most intense lines, 2θ from 15° to 90°, by angle:
15.34°, I 22
30.16°, I 100
30.34°, I 51
30.96°, I 22
31.96°, I 22
33.62°, I 22
34.32°, I 46
35.34°, I 33
37.50°, I 62
37.69°, I 57
44.66°, I 19
52.62°, I 20

***

5.
Diffraction record for Li2CaPrPd2. The PXRD pattern is calculated, not measured: it uses a DFT-relaxed cell (GGA-PBE, Alexandria) and a wavelength of 1.5418 Å.

Structural model:
```
data_Li2CaPrPd2
_cell_length_a 4.4077
_cell_length_b 4.4077
_cell_length_c 7.7175
_cell_angle_alpha 90.00
_cell_angle_beta 90.00
_cell_angle_gamma 120.00
_space_group_name_H-M_alt 'P -3 m 1'
_space_group_IT_number 164
_space_group_name_Hall '-P 3 2"'
loop_
_atom_site_label
_atom_site_fract_x
_atom_site_fract_y
_atom_site_fract_z
_atom_site_occupancy
Li1 0.3333 0.6667 0.2289 1
Ca1 0.0000 0.0000 0.0000 1
Pr1 0.0000 0.0000 0.5000 1
Pd1 0.3333 0.6667 0.7408 1
```

Most intense lines, 2θ from 15° to 90°, by angle:
26.04°, I 85
33.01°, I 100
40.95°, I 52
42.37°, I 25
47.10°, I 11
49.18°, I 15
53.57°, I 25
60.39°, I 9
64.15°, I 26
65.86°, I 12
69.57°, I 22
75.56°, I 9

***

6.
Diffraction record for K2TcH9. The PXRD pattern is calculated, not measured: it uses a DFT-relaxed cell (GGA-PBE, Alexandria) and a wavelength of 1.5418 Å.

Structural model:
```
data_K2TcH9
_cell_length_a 9.4122
_cell_length_b 9.4122
_cell_length_c 5.4871
_cell_angle_alpha 90.00
_cell_angle_beta 90.00
_cell_angle_gamma 120.00
_space_group_name_H-M_alt 'P -6 2 m'
_space_group_IT_number 189
_space_group_name_Hall 'P -6 -2'
loop_
_atom_site_label
_atom_site_fract_x
_atom_site_fract_y
_atom_site_fract_z
_atom_site_occupancy
K1 0.0000 0.2626 0.0000 1
K2 0.0000 0.5918 0.5000 1
Tc1 0.0000 0.0000 0.5000 1
Tc2 0.3333 0.6667 0.0000 1
H1 0.0000 0.1772 0.5000 1
H2 0.0000 0.8716 0.2854 1
H3 0.1413 0.6311 0.0000 1
H4 0.2241 0.5313 0.2232 1
```

Most intense lines, 2θ from 15° to 90°, by angle:
18.86°, I 60
19.50°, I 51
24.93°, I 51
27.26°, I 100
28.98°, I 16
32.64°, I 30
32.97°, I 50
33.35°, I 58
47.07°, I 37
51.15°, I 16
51.64°, I 32
62.20°, I 17

***

7.
Diffraction record for La2TlPb5. The PXRD pattern is calculated, not measured: it uses a DFT-relaxed cell (GGA-PBE, Alexandria) and a wavelength of 1.5418 Å.

Structural model:
```
data_La2TlPb5
_cell_length_a 6.9581
_cell_length_b 13.9286
_cell_length_c 4.9926
_cell_angle_alpha 90.00
_cell_angle_beta 90.00
_cell_angle_gamma 90.00
_space_group_name_H-M_alt 'P b a m'
_space_group_IT_number 55
loop_
_space_group_symop_operation_xyz
'x,y,z'
'-x,-y,-z'
'-x,-y,z'
'x,y,-z'
'x+1/2,-y+1/2,-z'
'-x+1/2,y+1/2,z'
'-x+1/2,y+1/2,-z'
'x+1/2,-y+1/2,z'
loop_
_atom_site_label
_atom_site_fract_x
_atom_site_fract_y
_atom_site_fract_z
_atom_site_occupancy
La1 0.2458 0.1268 0.0000 1
Tl1 0.0000 0.5000 0.5000 1
Pb1 0.0000 0.0000 0.5000 1
Pb2 0.0024 0.7495 0.5000 1
Pb3 0.2464 0.3763 0.0000 1
```

Most intense lines, 2θ from 15° to 90°, by angle:
31.33°, I 100
35.98°, I 17
36.51°, I 33
52.19°, I 24
52.59°, I 12
61.79°, I 15
62.50°, I 29
65.37°, I 13
85.40°, I 13
86.03°, I 6
87.66°, I 6
88.61°, I 6

***

8.
Diffraction record for PrSm4Ho2. The PXRD pattern is calculated, not measured: it uses a DFT-relaxed cell (GGA-PBE, Alexandria) and a wavelength of 1.5418 Å.

Structural model:
```
data_PrSm4Ho2
_cell_length_a 6.2418
_cell_length_b 8.0698
_cell_length_c 9.5637
_cell_angle_alpha 85.18
_cell_angle_beta 77.59
_cell_angle_gamma 82.58
_space_group_name_H-M_alt 'P 1'
_space_group_IT_number 1
loop_
_space_group_symop_operation_xyz
'x,y,z'
loop_
_atom_site_label
_atom_site_fract_x
_atom_site_fract_y
_atom_site_fract_z
_atom_site_occupancy
Pr1 0.0000 0.0000 0.0000 1
Pr2 0.4275 0.1449 0.1457 1
Sm1 0.0699 0.8572 0.3595 1
Sm2 0.2132 0.5737 0.0729 1
Sm3 0.2867 0.4311 0.4302 1
Sm4 0.3613 0.2900 0.7846 1
Sm5 0.5011 0.0000 0.5013 1
Sm6 0.5739 0.8563 0.8559 1
Sm7 0.7876 0.4325 0.9290 1
Sm8 0.9306 0.1446 0.6417 1
Ho1 0.1451 0.7139 0.7127 1
Ho2 0.6412 0.7131 0.2172 1
Ho3 0.7159 0.5736 0.5712 1
Ho4 0.8560 0.2906 0.2889 1
```

Most intense lines, 2θ from 15° to 90°, by angle:
30.31°, I 100
30.35°, I 33
35.07°, I 23
35.20°, I 45
50.55°, I 40
50.67°, I 8
59.99°, I 19
60.13°, I 19
60.20°, I 19
63.10°, I 12
82.25°, I 12
82.36°, I 8

***

9.
Diffraction record for ScCdNi. The PXRD pattern is calculated, not measured: it uses a DFT-relaxed cell (GGA-PBE, Alexandria) and a wavelength of 1.5418 Å.

Structural model:
```
data_ScCdNi
_cell_length_a 5.7797
_cell_length_b 5.7258
_cell_length_c 6.9407
_cell_angle_alpha 90.00
_cell_angle_beta 104.90
_cell_angle_gamma 90.00
_space_group_name_H-M_alt 'P 1 21 1'
_space_group_IT_number 4
loop_
_space_group_symop_operation_xyz
'x,y,z'
'-x,y+1/2,-z'
loop_
_atom_site_label
_atom_site_fract_x
_atom_site_fract_y
_atom_site_fract_z
_atom_site_occupancy
Sc1 0.0222 0.0000 0.3915 1
Sc2 0.1196 0.5442 0.1158 1
Cd1 0.3380 0.8316 0.8198 1
Cd2 0.4637 0.2893 0.5288 1
Ni1 0.2923 0.0420 0.1549 1
Ni2 0.2990 0.2913 0.8554 1
```

Most intense lines, 2θ from 15° to 90°, by angle:
15.87°, I 71
23.20°, I 24
31.51°, I 28
35.21°, I 85
36.19°, I 63
37.95°, I 64
39.29°, I 100
39.56°, I 34
40.34°, I 47
41.94°, I 59
48.54°, I 19
49.95°, I 39

***

10.
Diffraction record for ThZr2Cu6. The PXRD pattern is calculated, not measured: it uses a DFT-relaxed cell (GGA-PBE, Alexandria) and a wavelength of 1.5418 Å.

Structural model:
```
data_ThZr2Cu6
_cell_length_a 7.4722
_cell_length_b 7.4722
_cell_length_c 3.1460
_cell_angle_alpha 90.00
_cell_angle_beta 90.00
_cell_angle_gamma 120.00
_space_group_name_H-M_alt 'P 6/m m m'
_space_group_IT_number 191
_space_group_name_Hall '-P 6 2'
loop_
_atom_site_label
_atom_site_fract_x
_atom_site_fract_y
_atom_site_fract_z
_atom_site_occupancy
Th1 0.0000 0.0000 0.0000 1
Zr1 0.3333 0.6667 0.0000 1
Cu1 0.0000 0.3390 0.5000 1
```

Most intense lines, 2θ from 15° to 90°, by angle:
23.82°, I 17
27.57°, I 6
31.62°, I 8
36.75°, I 5
37.37°, I 100
41.88°, I 64
47.06°, I 5
57.37°, I 28
58.69°, I 8
73.51°, I 26
74.68°, I 22
76.49°, I 10

***

11.
Diffraction record for YPbAu4. The PXRD pattern is calculated, not measured: it uses a DFT-relaxed cell (GGA-PBE, Alexandria) and a wavelength of 1.5418 Å.

Structural model:
```
data_YPbAu4
_cell_length_a 4.8396
_cell_length_b 4.8396
_cell_length_c 6.5131
_cell_angle_alpha 90.00
_cell_angle_beta 90.00
_cell_angle_gamma 120.00
_space_group_name_H-M_alt 'P 6/m m m'
_space_group_IT_number 191
_space_group_name_Hall '-P 6 2'
loop_
_atom_site_label
_atom_site_fract_x
_atom_site_fract_y
_atom_site_fract_z
_atom_site_occupancy
Y1 0.0000 0.0000 0.0000 1
Pb1 0.0000 0.0000 0.5000 1
Au1 0.3333 0.6667 0.2368 1
```

Most intense lines, 2θ from 15° to 90°, by angle:
25.27°, I 9
27.39°, I 15
34.89°, I 94
37.16°, I 100
46.77°, I 21
51.88°, I 31
56.52°, I 9
65.53°, I 31
66.98°, I 18
69.59°, I 30
79.16°, I 12
89.53°, I 14

***

12.
Diffraction record for Pm14SmHo. The PXRD pattern is calculated, not measured: it uses a DFT-relaxed cell (GGA-PBE, Alexandria) and a wavelength of 1.5418 Å.

Structural model:
```
data_Pm14SmHo
_cell_length_a 10.2826
_cell_length_b 10.3071
_cell_length_c 10.3059
_cell_angle_alpha 90.00
_cell_angle_beta 90.00
_cell_angle_gamma 90.00
_space_group_name_H-M_alt 'A m m 2'
_space_group_IT_number 38
loop_
_space_group_symop_operation_xyz
'x,y,z'
'-x,-y,z'
'-x,y,z'
'x,-y,z'
'x,y+1/2,z+1/2'
'-x,-y+1/2,z+1/2'
'-x,y+1/2,z+1/2'
'x,-y+1/2,z+1/2'
loop_
_atom_site_label
_atom_site_fract_x
_atom_site_fract_y
_atom_site_fract_z
_atom_site_occupancy
Pm1 0.0000 0.0000 0.0000 1
Pm2 0.0000 0.0000 0.4992 1
Pm3 0.0000 0.2503 0.2496 1
Pm4 0.2513 0.0000 0.2488 1
Pm5 0.2511 0.0000 0.7503 1
Pm6 0.2512 0.2493 0.9996 1
Pm7 0.5000 0.2497 0.2495 1
Sm1 0.5000 0.0000 0.4999 1
Ho1 0.5000 0.0000 0.9993 1
```

Most intense lines, 2θ from 15° to 90°, by angle:
30.06°, I 100
34.85°, I 51
50.11°, I 36
59.51°, I 29
59.62°, I 14
62.48°, I 12
73.51°, I 4
73.71°, I 2
81.47°, I 18
84.01°, I 11
84.18°, I 5

***

13.
Diffraction record for PmEr. The PXRD pattern is calculated, not measured: it uses a DFT-relaxed cell (GGA-PBE, Alexandria) and a wavelength of 1.5418 Å.

Structural model:
```
data_PmEr
_cell_length_a 3.5451
_cell_length_b 5.5958
_cell_length_c 6.7909
_cell_angle_alpha 90.00
_cell_angle_beta 105.05
_cell_angle_gamma 90.00
_space_group_name_H-M_alt 'P 1 21/m 1'
_space_group_IT_number 11
loop_
_space_group_symop_operation_xyz
'x,y,z'
'-x,-y,-z'
'-x,y+1/2,-z'
'x,-y+1/2,z'
loop_
_atom_site_label
_atom_site_fract_x
_atom_site_fract_y
_atom_site_fract_z
_atom_site_occupancy
Pm1 0.0620 0.2500 0.1249 1
Er1 0.3221 0.2500 0.6427 1
```

Most intense lines, 2θ from 15° to 90°, by angle:
30.62°, I 96
31.63°, I 100
31.99°, I 50
32.52°, I 46
42.89°, I 16
46.26°, I 35
54.49°, I 16
56.14°, I 27
56.78°, I 19
58.07°, I 19
61.76°, I 30
61.98°, I 15